# 1
This entry pairs a crystal structure of Na4As2O7 with its simulated powder diffraction line list. Radiation: Cu Ka. Structure: DFT lattice parameters and positions (PBE).
Peak positions follow from Bragg's law for the DFT cell and can differ from measured ones.

The 6 most intense peaks (2θ = 15–90°), in order of rising 2θ:
2θ 18.18, d = 4.879 Å, I 100, (1 1 -1); 2θ 18.65, d = 4.757 Å, I 80, (0 2 1); 2θ 27.90, d = 3.198 Å, I 62, (1 1 3); 2θ 28.50, d = 3.132 Å, I 84, (0 0 4); 2θ 29.97, d = 2.982 Å, I 84, (1 3 0); 2θ 33.55, d = 2.671 Å, I 92, (2 0 2)

Structural model:
Cell: 6.0496 10.2840 12.5407 Å, 90.00 92.61 90.00°
Space group C2/c (No. 15)
One atom of each set of equivalent atoms:
1 Na 0.1563 0.1779 0.3718 x8
2 Na 0.1897 0.4866 0.9051 x8
3 As 0.1420 0.1519 0.8612 x8
4 O 0.0000 0.0654 0.7500 x4
5 O 0.0694 0.1777 0.5565 x8
6 O 0.1794 0.4656 0.0935 x8
7 O 0.2341 0.2118 0.1848 x8

***

# 2
This entry pairs a crystal structure of TbCe2ThSb5 with its simulated powder diffraction line list. Radiation: Cu Ka. Structure: DFT lattice parameters and positions (PBE).
Peak positions follow from Bragg's law for the DFT cell and can differ from measured ones.

The 6 most intense peaks (2θ = 15–90°), in order of rising 2θ:
2θ 23.77, d = 3.744 Å, I 94, (1 1 0); 2θ 30.25, d = 2.954 Å, I 49, (0 0 4); 2θ 33.01, d = 2.714 Å, I 56, (1 1 3); 2θ 33.86, d = 2.647 Å, I 100, (2 0 0); 2θ 46.04, d = 1.971 Å, I 66, (2 0 4); 2θ 58.37, d = 1.581 Å, I 39, (2 2 4)

Structural model:
Cell: 5.2942 5.2942 11.8168 Å, 90.00 90.00 90.00°
Space group P4/mmm (No. 123)
One atom of each set of equivalent atoms:
1 Tb 0.0000 0.0000 0.0000 x1
2 Ce 0.5000 0.5000 0.2014 x2
3 Th 0.0000 0.0000 0.5000 x1
4 Sb 0.0000 0.0000 0.2502 x2
5 Sb 0.0000 0.5000 0.0000 x2
6 Sb 0.5000 0.5000 0.5000 x1